The following is a calculated powder XRD pattern of Ba2I3Cl. It was derived from DFT lattice parameters and positions (PBE), using a wavelength of 1.5418 Å.
No peak broadening, texture or thermal motion is included.

Structure:
a b c (Å): 10.2152 11.6099 10.7642
angles (deg): 90.00 90.00 90.00
Space group Imma (No. 74)
Asymmetric unit:
Ba 0.0000 0.2500 0.2093 x4
Ba 0.2500 0.2500 0.7500 x4
I 0.0000 0.2500 0.5345 x4
I 0.2500 0.0510 0.2500 x8
Cl 0.0000 0.2500 0.9218 x4

Most intense lines, 2θ from 5° to 70°, in order of falling intensity:
2θ/deg  I (rel.)  index
30.14  100  2 3 1
38.49  93  2 3 3
24.02  82  2 0 2
16.47  80  0 0 2
23.20  73  2 2 0
35.14  49  4 0 0
15.26  37  0 2 0
31.43  34  2 1 3
30.81  33  0 4 0
24.44  31  0 3 1

---

The following is a calculated powder XRD pattern of La2FeGe3Ir4. It was derived from DFT lattice parameters and positions (PBE), using a wavelength of 1.5418 Å.
No peak broadening, texture or thermal motion is included.

Structure:
a b c (Å): 4.2449 4.2449 10.4041
angles (deg): 90.00 90.00 90.00
Space group P-4m2 (No. 115)
Asymmetric unit:
La 0.0000 0.5000 0.2444 x2
Fe 0.5000 0.5000 0.0000 x1
Ge 0.0000 0.0000 0.0000 x1
Ge 0.0000 0.5000 0.6295 x2
Ir 0.0000 0.0000 0.5000 x1
Ir 0.0000 0.5000 0.8693 x2
Ir 0.5000 0.5000 0.5000 x1

Most intense lines, 2θ from 5° to 70°, in order of falling intensity:
2θ/deg  I (rel.)  index
34.50  100  1 1 2
42.60  70  2 0 0
33.36  58  1 0 3
46.18  40  1 1 4
61.81  35  2 2 0
31.01  31  1 1 1
48.74  28  1 0 5
55.16  28  2 1 3
66.69  21  2 1 5
25.69  15  0 0 3

---

The following is a calculated powder XRD pattern of RbTl4Hg. It was derived from DFT lattice parameters and positions (PBE), using a wavelength of 1.5418 Å.
No peak broadening, texture or thermal motion is included.

Structure:
a b c (Å): 8.9617 5.0514 9.1043
angles (deg): 90.00 90.00 90.00
Space group Pmma (No. 51)
Asymmetric unit:
Rb 0.2500 0.0000 0.1261 x2
Tl 0.0000 0.0000 0.5000 x2
Tl 0.0530 0.5000 0.8019 x4
Tl 0.2500 0.5000 0.4498 x2
Hg 0.2500 0.0000 0.7402 x2

Most intense lines, 2θ from 5° to 70°, in order of falling intensity:
2θ/deg  I (rel.)  index
33.19  100  2 1 2
28.37  66  2 1 1
35.54  37  0 2 0
36.31  32  3 1 1
9.71  28  0 0 1
29.43  24  0 0 3
13.87  23  1 0 1
28.21  22  1 1 2
31.11  22  1 0 3
62.34  17  2 3 2

---

The following is a calculated powder XRD pattern of SrMgP2O7. It was derived from DFT lattice parameters and positions (PBE), using a wavelength of 1.5418 Å.
No peak broadening, texture or thermal motion is included.

Structure:
a b c (Å): 5.3693 8.3889 13.9420
angles (deg): 90.00 111.92 90.00
Space group P2_1/c (No. 14)
Asymmetric unit:
Sr 0.0089 0.1642 0.2217 x4
Mg 0.2851 0.6504 0.6071 x4
P 0.3322 0.2016 0.0209 x4
P 0.4236 0.0345 0.6696 x4
O 0.1058 0.1953 0.9140 x4
O 0.2067 0.0616 0.7143 x4
O 0.2693 0.0957 0.0994 x4
O 0.3108 0.6155 0.7625 x4
O 0.3232 0.1141 0.5561 x4
O 0.3844 0.6704 0.4773 x4
O 0.4753 0.6405 0.1548 x4

Most intense lines, 2θ from 5° to 70°, in order of falling intensity:
2θ/deg  I (rel.)  index
26.35  100  1 0 2
28.76  64  1 1 -4
13.69  63  0 0 2
33.38  56  2 0 -2
26.98  55  1 2 -1
27.91  46  1 2 -2
30.47  46  1 2 -3
43.34  38  0 1 6
32.77  35  0 3 1
45.08  33  2 2 1

---

The following is a calculated powder XRD pattern of Pm6Nd16Sm7. It was derived from DFT lattice parameters and positions (PBE), using a wavelength of 1.5418 Å.
No peak broadening, texture or thermal motion is included.

Structure:
a b c (Å): 16.1598 16.1598 16.1598
angles (deg): 90.00 90.00 90.00
Space group Fm-3m (No. 225)
Asymmetric unit:
Pm 0.0000 0.0000 0.2306 x24
Nd 0.1261 0.1261 0.3739 x32
Nd 0.1511 0.1511 0.1511 x32
Sm 0.0000 0.0000 0.5000 x4
Sm 0.0000 0.2500 0.2500 x24

Most intense lines, 2θ from 5° to 70°, in order of falling intensity:
2θ/deg  I (rel.)  index
31.31  100  4 4 0
55.73  26  8 4 4
44.87  14  8 0 0
28.71  11  3 3 3
65.33  7  8 8 0
27.03  6  4 2 2
42.99  6  7 3 1
32.79  6  5 3 1
59.14  5  7 7 3
33.27  5  6 0 0

---

The following is a calculated powder XRD pattern of FeCu2N. It was derived from DFT lattice parameters and positions (PBE), using a wavelength of 1.5418 Å.
No peak broadening, texture or thermal motion is included.

Structure:
a b c (Å): 7.0401 7.0401 3.7752
angles (deg): 90.00 90.00 90.00
Space group I-42d (No. 122)
Asymmetric unit:
Fe 0.0000 0.0000 0.0000 x4
Cu 0.1356 0.2500 0.6250 x8
N 0.0000 0.0000 0.5000 x4

Most intense lines, 2θ from 5° to 70°, in order of falling intensity:
2θ/deg  I (rel.)  index
37.18  100  2 1 1
40.52  30  3 1 0
51.80  27  1 1 2
45.51  21  3 0 1
36.08  21  2 2 0
58.64  18  4 2 0
52.78  17  3 2 1
67.88  9  5 1 0
64.75  8  3 1 2
55.22  5  2 0 2

---

The following is a calculated powder XRD pattern of Pm6PdRh2. It was derived from DFT lattice parameters and positions (PBE), using a wavelength of 1.5418 Å.
No peak broadening, texture or thermal motion is included.

Structure:
a b c (Å): 9.6804 9.7085 10.2819
angles (deg): 90.00 90.00 90.00
Space group Immm (No. 71)
Asymmetric unit:
Pm 0.0000 0.1874 0.2446 x8
Pm 0.1898 0.5000 0.1708 x8
Pm 0.2247 0.3240 0.5000 x8
Pd 0.0000 0.0000 0.0000 x2
Pd 0.0000 0.0000 0.5000 x2
Rh 0.0000 0.3292 0.0000 x4
Rh 0.0000 0.5000 0.3704 x4

Most intense lines, 2θ from 5° to 70°, in order of falling intensity:
2θ/deg  I (rel.)  index
34.47  100  2 3 1
34.02  93  1 3 2
31.37  88  2 2 2
33.34  61  2 1 3
58.36  42  5 3 2
29.15  38  3 1 0
37.15  37  4 0 0
39.68  29  0 2 4
38.31  28  3 0 3
56.92  21  0 6 0

---

The following is a calculated powder XRD pattern of Rb3Cu2AuI8. It was derived from DFT lattice parameters and positions (PBE), using a wavelength of 1.5418 Å.
No peak broadening, texture or thermal motion is included.

Structure:
a b c (Å): 8.0837 8.0837 10.3700
angles (deg): 90.00 90.00 120.00
Space group P-3m1 (No. 164)
Asymmetric unit:
Rb 0.0000 0.0000 0.0000 x1
Rb 0.3333 0.6667 0.6196 x2
Cu 0.3333 0.6667 0.2072 x2
Au 0.0000 0.0000 0.5000 x1
I 0.1654 0.3309 0.3253 x6
I 0.3333 0.6667 0.9681 x2

Most intense lines, 2θ from 5° to 70°, in order of falling intensity:
2θ/deg  I (rel.)  index
30.82  100  2 0 2
26.88  85  2 0 1
15.27  75  1 0 1
44.85  72  2 2 0
21.99  66  1 1 0
27.99  63  1 1 2
43.44  54  0 2 4
8.53  43  0 0 1
36.53  40  2 0 3
25.77  31  0 0 3

---

What did the third record say?
The following is a calculated powder XRD pattern of RbTl4Hg. It was derived from DFT lattice parameters and positions (PBE), using a wavelength of 1.5418 Å.
No peak broadening, texture or thermal motion is included.

Structure:
a b c (Å): 8.9617 5.0514 9.1043
angles (deg): 90.00 90.00 90.00
Space group Pmma (No. 51)
Asymmetric unit:
Rb 0.2500 0.0000 0.1261 x2
Tl 0.0000 0.0000 0.5000 x2
Tl 0.0530 0.5000 0.8019 x4
Tl 0.2500 0.5000 0.4498 x2
Hg 0.2500 0.0000 0.7402 x2

Most intense lines, 2θ from 5° to 70°, in order of falling intensity:
2θ/deg  I (rel.)  index
33.19  100  2 1 2
28.37  66  2 1 1
35.54  37  0 2 0
36.31  32  3 1 1
9.71  28  0 0 1
29.43  24  0 0 3
13.87  23  1 0 1
28.21  22  1 1 2
31.11  22  1 0 3
62.34  17  2 3 2